Structure and theoretical XRD peak list of AcVRu2 (a structure optimized by DFT (GGA-PBE); λ = 1.5418 Å (Cu Kα)).

Unit cell a=4.0875 b=4.0875 c=17.1537 alpha=90.00 beta=90.00 gamma=120.00
Space group R-3m (No. 166, hexagonal axes)
Asymmetric unit:
Ac 0.0000 0.0000 0.0000
V 0.0000 0.0000 0.5000
Ru 0.0000 0.0000 0.2116

The 12 most intense peaks (10 to 90 degrees two-theta), in order of rising 2θ:
| d/Å | 2theta | I_rel | (hkl) |
| --- | --- | --- | --- |
| 3.467 | 25.70 | 585 | 1 0 1 |
| 2.859 | 31.29 | 151 | 0 0 6 |
| 2.730 | 32.81 | 1000 | 1 0 4 |
| 2.464 | 36.47 | 659 | 0 1 5 |
| 2.044 | 44.32 | 654 | 1 1 0 |
| 1.663 | 55.25 | 183 | 1 1 6 |
| 1.636 | 56.22 | 214 | 0 2 4 |
| 1.573 | 58.70 | 170 | 2 0 5 |
| 1.544 | 59.92 | 211 | 1 0 10 |
| 1.394 | 67.16 | 201 | 1 1 9 |
| 1.277 | 74.25 | 187 | 2 1 4 |
| 1.247 | 76.41 | 158 | 1 2 5 |

Structure and theoretical XRD peak list of LiNbCd3 (a structure optimized by DFT (GGA-PBE); λ = 1.5418 Å (Cu Kα)).

Unit cell a=4.5751 b=4.5751 c=4.5751 alpha=90.00 beta=90.00 gamma=90.00
Space group Pm-3m (No. 221)
Asymmetric unit:
Li 0.0000 0.0000 0.0000
Nb 0.5000 0.5000 0.5000
Cd 0.0000 0.0000 0.5000

The 7 most intense peaks (10 to 90 degrees two-theta), in order of rising 2θ:
| d/Å | 2theta | I_rel | (hkl) |
| --- | --- | --- | --- |
| 4.575 | 19.40 | 9 | 1 0 0 |
| 2.641 | 33.94 | 1000 | 1 1 1 |
| 2.288 | 39.39 | 517 | 2 0 0 |
| 1.618 | 56.93 | 338 | 2 2 0 |
| 1.379 | 67.95 | 370 | 3 1 1 |
| 1.321 | 71.42 | 112 | 2 2 2 |
| 1.144 | 84.76 | 53 | 4 0 0 |

Structure and theoretical XRD peak list of Er5ThIr6 (a structure optimized by DFT (GGA-PBE); λ = 1.5418 Å (Cu Kα)).

Unit cell a=4.7804 b=14.3343 c=7.0847 alpha=90.00 beta=90.00 gamma=90.00
Space group Cmmm (No. 65)
Asymmetric unit:
Er 0.0000 0.0000 0.0000
Er 0.0000 0.3294 0.5000
Er 0.0000 0.3323 0.0000
Th 0.0000 0.0000 0.5000
Ir 0.0000 0.1664 0.2480
Ir 0.0000 0.5000 0.2462

The 9 most intense peaks (10 to 90 degrees two-theta), in order of rising 2θ:
| d/Å | 2theta | I_rel | (hkl) |
| --- | --- | --- | --- |
| 2.445 | 36.76 | 1000 | 1 3 2 |
| 2.390 | 37.64 | 469 | 2 0 0 |
| 1.771 | 51.60 | 96 | 0 0 4 |
| 1.690 | 54.29 | 165 | 2 6 0 |
| 1.423 | 65.61 | 187 | 2 0 4 |
| 1.390 | 67.36 | 346 | 3 3 2 |
| 1.223 | 78.18 | 114 | 2 6 4 |
| 1.195 | 80.36 | 53 | 4 0 0 |
| 1.115 | 87.51 | 89 | 1 3 6 |

Structure and theoretical XRD peak list of Pm2Pr4ErTm (a structure optimized by DFT (GGA-PBE); λ = 1.5418 Å (Cu Kα)).

Unit cell a=5.1634 b=5.1935 c=10.1931 alpha=90.00 beta=90.06 gamma=90.00
Space group P2/m (No. 10)
Asymmetric unit:
Pm 0.0000 0.0000 0.0000
Pm 0.5000 0.5000 0.5000
Pr 0.9998 0.5000 0.2492
Pr 0.5001 0.0000 0.2503
Er 0.0000 0.0000 0.5000
Tm 0.5000 0.5000 0.0000

The 12 most intense peaks (10 to 90 degrees two-theta), in order of rising 2θ:
| d/Å | 2theta | I_rel | (hkl) |
| --- | --- | --- | --- |
| 2.974 | 30.05 | 1000 | 1 1 2 |
| 2.597 | 34.54 | 173 | 0 2 0 |
| 2.582 | 34.75 | 170 | 2 0 0 |
| 2.548 | 35.22 | 164 | 0 0 4 |
| 1.831 | 49.81 | 123 | 2 2 0 |
| 1.819 | 50.16 | 121 | 0 2 4 |
| 1.814 | 50.31 | 120 | 2 0 4 |
| 1.562 | 59.13 | 147 | 1 3 2 |
| 1.556 | 59.41 | 145 | 3 1 2 |
| 1.541 | 60.03 | 141 | 1 1 6 |
| 1.487 | 62.46 | 125 | 2 2 4 |
| 1.187 | 81.00 | 60 | 3 3 2 |